# YInBi
Calculated XRD peak list, Cu Kα (weighted mean of Kα1 and Kα2). Input: DFT lattice parameters and positions (PBE).
Peak positions follow from Bragg's law for the DFT cell and can differ from measured ones.

Principal peaks in the range 10° ≤ 2θ ≤ 80°, by intensity:
- 30.37 deg, rel. 100
- 34.47 deg, rel. 78
- 38.30 deg, rel. 28
- 42.33 deg, rel. 28
- 31.73 deg, rel. 27
- 65.60 deg, rel. 22
- 58.39 deg, rel. 22
- 24.66 deg, rel. 21
- 67.69 deg, rel. 18
- 50.55 deg, rel. 16
- 41.38 deg, rel. 15
- 20.80 deg, rel. 14

Cell and atoms:
Unit cell a=6.1313 b=6.1313 c=6.5032 alpha=90.00 beta=90.00 gamma=134.93
Fractional positions:
1 Y 0.1431 0.8569 0.7500
2 Y 0.8569 0.1431 0.2500
3 In 0.5000 0.5000 0.0000
4 In 0.5000 0.5000 0.5000
5 Bi 0.1584 0.8416 0.2500
6 Bi 0.8416 0.1584 0.7500